# 1
Structure and calculated X-ray diffraction stick pattern of In3AsSe3 (DFT lattice parameters and positions (GGA-PBE); Cu Kα).

Main lines, by angle (2θ = 10–90°):
| 2theta | I_rel |
| --- | --- |
| 15.51 | 6 |
| 25.67 | 100 |
| 42.43 | 49 |
| 42.77 | 24 |
| 49.96 | 15 |
| 50.55 | 28 |
| 62.09 | 8 |
| 67.82 | 11 |
| 77.40 | 7 |
| 78.04 | 8 |

Crystal structure
abc: 4.233 16.897 6.071
angles: 90.00 90.00 90.00
Space group Pmn2_1 (No. 31)
Unique sites:
In (0.000, 0.065, 0.000) x2
In (0.000, 0.302, 0.998) x2
In (0.000, 0.565, 0.990) x2
As (0.000, 0.433, 0.751) x2
Se (0.000, 0.183, 0.736) x2
Se (0.000, 0.701, 0.772) x2
Se (0.000, 0.930, 0.775) x2

# 2
Structure and calculated X-ray diffraction stick pattern of BaHgBi3 (DFT lattice parameters and positions (GGA-PBE); Cu Kα).

Main lines, by angle (2θ = 10–90°):
| 2theta | I_rel |
| --- | --- |
| 21.56 | 36 |
| 24.68 | 33 |
| 27.65 | 30 |
| 30.99 | 100 |
| 35.19 | 24 |
| 35.75 | 23 |
| 37.94 | 27 |
| 39.50 | 27 |
| 39.63 | 28 |
| 60.54 | 23 |

Crystal structure
abc: 6.998 7.215 7.214
angles: 90.00 90.00 90.00
Space group Pmn2_1 (No. 31)
Unique sites:
Ba (0.000, 0.248, 0.000) x2
Hg (0.000, 0.619, 0.669) x2
Bi (0.000, 0.910, 0.365) x2
Bi (0.248, 0.273, 0.525) x4